(1)
Computed XRD peak list
Compound: Li3MnVP3O12
Radiation: Cu Ka
Structure: a cell relaxed with GGA+U

Principal peaks in the range 5° ≤ 2θ ≤ 70°, most intense first:
2θ 23.70, I = 100, (0 2 -1)
2θ 20.37, I = 97, (1 0 -2)
2θ 14.16, I = 93, (1 0 0)
2θ 28.55, I = 84, (2 0 0)
2θ 23.58, I = 62, (0 1 -2)
2θ 32.14, I = 60, (2 1 -1)

Crystal structure
a b c (Å): 8.662 8.715 8.728
angles (deg): 91.51 118.61 119.09
Space group P1 (No. 1)
Symmetry-distinct sites (fractional):
Li: 0.000 0.000 0.000
Li: 0.000 0.149 0.500
Li: 0.240 0.537 0.972
Li: 0.243 0.853 0.472
Li: 0.644 0.526 0.041
Li: 0.645 0.268 0.543
Mn: 0.418 0.036 0.152
Mn: 0.825 0.240 0.934
V: 0.420 0.533 0.655
V: 0.833 0.736 0.438
P: 0.346 0.138 0.750
P: 0.348 0.359 0.250
P: 0.630 0.937 0.553
P: 0.632 0.843 0.051
P: 0.906 0.414 0.335
P: 0.907 0.639 0.835
O: 0.094 0.837 0.978
O: 0.097 0.411 0.477
O: 0.145 0.954 0.588
O: 0.146 0.337 0.089
O: 0.305 0.292 0.711
O: 0.311 0.162 0.214
O: 0.393 0.139 0.941
O: 0.393 0.406 0.442
O: 0.458 0.646 0.897
O: 0.462 0.964 0.404
O: 0.501 0.881 0.102
O: 0.506 0.774 0.604
O: 0.531 0.171 0.734
O: 0.534 0.509 0.239
O: 0.715 0.595 0.846
O: 0.719 0.270 0.348
O: 0.757 0.993 0.992
O: 0.758 0.911 0.492
O: 0.800 0.827 0.217
O: 0.807 0.125 0.724
O: 0.844 0.366 0.133
O: 0.844 0.627 0.634
O: 0.958 0.614 0.379
O: 0.962 0.496 0.878

(2)
Computed XRD peak list
Compound: Li3MnVP3O12
Radiation: Cu Ka
Structure: a cell relaxed with GGA+U

Principal peaks in the range 5° ≤ 2θ ≤ 70°, most intense first:
2θ 19.38, I = 100, (-1 1 1)
2θ 23.85, I = 90, (1 1 0)
2θ 24.04, I = 79, (-2 1 1)
2θ 24.26, I = 72, (1 -2 2)
2θ 30.99, I = 61, (1 1 1)
2θ 14.50, I = 57, (1 -1 1)

Crystal structure
a b c (Å): 8.372 8.382 9.133
angles (deg): 116.45 90.73 119.35
Space group P1 (No. 1)
Symmetry-distinct sites (fractional):
Li: 0.000 0.000 0.000
Li: 0.031 0.429 0.243
Li: 0.238 0.548 0.970
Li: 0.373 0.163 0.241
Li: 0.567 0.300 0.961
Li: 0.834 0.680 0.689
Mn: 0.151 0.067 0.660
Mn: 0.459 0.662 0.537
V: 0.647 0.045 0.141
V: 0.958 0.666 0.062
P: 0.044 0.153 0.350
P: 0.257 0.849 0.852
P: 0.348 0.858 0.353
P: 0.565 0.583 0.848
P: 0.747 0.551 0.335
P: 0.847 0.161 0.857
O: 0.057 0.246 0.857
O: 0.069 0.161 0.515
O: 0.090 0.999 0.205
O: 0.142 0.942 0.835
O: 0.143 0.696 0.919
O: 0.154 0.665 0.203
O: 0.165 0.369 0.359
O: 0.297 0.738 0.688
O: 0.317 0.989 0.512
O: 0.444 0.751 0.378
O: 0.445 0.371 0.841
O: 0.454 0.048 0.002
O: 0.470 0.004 0.280
O: 0.510 0.736 0.978
O: 0.535 0.565 0.672
O: 0.541 0.470 0.350
O: 0.704 0.961 0.689
O: 0.768 0.611 0.195
O: 0.774 0.358 0.270
O: 0.786 0.682 0.907
O: 0.808 0.341 0.912
O: 0.825 0.060 0.274
O: 0.833 0.107 0.005
O: 0.898 0.729 0.508

Repeat the first record exactly.
Computed XRD peak list
Compound: Li3MnVP3O12
Radiation: Cu Ka
Structure: a cell relaxed with GGA+U

Principal peaks in the range 5° ≤ 2θ ≤ 70°, most intense first:
2θ 23.70, I = 100, (0 2 -1)
2θ 20.37, I = 97, (1 0 -2)
2θ 14.16, I = 93, (1 0 0)
2θ 28.55, I = 84, (2 0 0)
2θ 23.58, I = 62, (0 1 -2)
2θ 32.14, I = 60, (2 1 -1)

Crystal structure
a b c (Å): 8.662 8.715 8.728
angles (deg): 91.51 118.61 119.09
Space group P1 (No. 1)
Symmetry-distinct sites (fractional):
Li: 0.000 0.000 0.000
Li: 0.000 0.149 0.500
Li: 0.240 0.537 0.972
Li: 0.243 0.853 0.472
Li: 0.644 0.526 0.041
Li: 0.645 0.268 0.543
Mn: 0.418 0.036 0.152
Mn: 0.825 0.240 0.934
V: 0.420 0.533 0.655
V: 0.833 0.736 0.438
P: 0.346 0.138 0.750
P: 0.348 0.359 0.250
P: 0.630 0.937 0.553
P: 0.632 0.843 0.051
P: 0.906 0.414 0.335
P: 0.907 0.639 0.835
O: 0.094 0.837 0.978
O: 0.097 0.411 0.477
O: 0.145 0.954 0.588
O: 0.146 0.337 0.089
O: 0.305 0.292 0.711
O: 0.311 0.162 0.214
O: 0.393 0.139 0.941
O: 0.393 0.406 0.442
O: 0.458 0.646 0.897
O: 0.462 0.964 0.404
O: 0.501 0.881 0.102
O: 0.506 0.774 0.604
O: 0.531 0.171 0.734
O: 0.534 0.509 0.239
O: 0.715 0.595 0.846
O: 0.719 0.270 0.348
O: 0.757 0.993 0.992
O: 0.758 0.911 0.492
O: 0.800 0.827 0.217
O: 0.807 0.125 0.724
O: 0.844 0.366 0.133
O: 0.844 0.627 0.634
O: 0.958 0.614 0.379
O: 0.962 0.496 0.878

Q: Number 2 is which compound?
A: Li3MnVP3O12